Ta2InCl: theoretical powder diffraction line list (λ = 1.5418 Å (Cu Kα)), based on a structure optimized by DFT (GGA-PBE).
Kinematic intensities with the Lorentz-polarization factor, no thermal factor.

Principal peaks in the range 10° ≤ 2θ ≤ 90°, by angle:
index  two_theta  I/Imax
0 0 4  33.69  17.6
0 2 0  35.53  32.3
1 1 2  36.30  100.0
1 1 3  41.11  44.7
0 0 5  42.47  15.3
0 2 4  49.77  12.0
0 2 5  56.54  13.1
1 3 2  64.31  18.8
1 3 3  67.60  14.4
1 1 7  70.51  13.6

Atomic structure:
```
Ta2InCl
1.0
3.356 0.000 0.000
0.000 5.053 0.000
0.000 0.000 10.642
Ta In Cl
4 2 2
Cartesian
0.000 0.000 0.000
0.000 2.526 2.171
1.678 0.000 2.171
1.678 2.526 0.000
0.000 2.526 8.137
1.678 0.000 8.137
0.000 0.000 4.114
1.678 2.526 4.114
```


InTeCl: theoretical powder diffraction line list (λ = 1.5418 Å (Cu Kα)), based on a structure optimized by DFT (GGA-PBE).
Kinematic intensities with the Lorentz-polarization factor, no thermal factor.

Principal peaks in the range 10° ≤ 2θ ≤ 90°, by angle:
index  two_theta  I/Imax
1 1 0  12.92  100.0
0 3 1  22.10  28.6
0 0 2  24.23  27.7
2 1 1  27.07  34.4
1 0 2  27.26  57.4
1 2 -2  29.21  23.5
1 4 -1  29.70  42.6
2 3 -1  31.62  23.9
3 3 1  41.82  23.7
1 3 -3  42.63  23.6

Atomic structure:
```
InTeCl
1.0
7.796 0.000 0.000
0.000 14.419 0.000
-0.302 0.000 7.346
In Te Cl
8 8 8
Cartesian
1.243 2.741 2.736
1.092 4.468 6.409
1.307 0.327 6.382
1.458 6.883 2.709
6.036 7.536 4.637
6.187 14.092 0.964
6.402 9.950 0.937
6.251 11.678 4.610
1.102 0.051 1.862
0.951 7.158 5.535
2.738 2.489 5.250
2.889 4.721 1.577
4.605 9.698 5.770
4.756 11.930 2.096
6.543 7.261 1.812
6.392 14.368 5.485
0.402 10.605 3.639
0.251 11.023 7.312
3.010 8.644 2.104
2.859 12.984 5.777
4.635 1.434 1.569
4.484 5.775 5.242
7.243 3.395 0.035
7.092 3.814 3.708
```